[1]
For Ta2Nb5, a structure optimized by DFT (PBE) gives the calculated XRD peak list in this record (Cu Kα).

Most intense lines, 15° ≤ 2θ ≤ 90°, sorted by position:
d 5.818, 15.23°, intensity 2.1; d 3.044, 29.34°, intensity 2.1; d 2.697, 33.21°, intensity 3.3; d 2.344, 38.41°, intensity 100.0; d 1.662, 55.26°, intensity 5.7; d 1.655, 55.53°, intensity 11.3; d 1.355, 69.34°, intensity 11.5; d 1.352, 69.52°, intensity 22.8; d 1.173, 82.19°, intensity 7.2; d 1.170, 82.42°, intensity 3.6

Structural model:
```
7
Lattice="-1.6549 1.6549 11.6362 1.6549 -1.6549 11.6362 1.6549 1.6549 -11.6362" Properties=species:S:1:pos:R:3 pbc="T T T"
Ta 0.0000 0.0000 4.9800
Ta 0.0000 0.0000 18.2924
Nb 0.0000 0.0000 1.6611
Nb 0.0000 0.0000 8.3204
Nb 0.0000 0.0000 11.6362
Nb 0.0000 0.0000 14.9520
Nb 0.0000 0.0000 21.6113
```

[2]
For BaMgGa, a structure optimized by DFT (PBE) gives the calculated XRD peak list in this record (Cu Kα).

Most intense lines, 15° ≤ 2θ ≤ 90°, sorted by position:
d 4.415, 20.11°, intensity 29.8; d 3.066, 29.13°, intensity 100.0; d 2.549, 35.21°, intensity 46.5; d 2.130, 42.43°, intensity 9.1; d 1.960, 46.32°, intensity 27.4; d 1.635, 56.28°, intensity 23.5; d 1.554, 59.49°, intensity 25.8; d 1.472, 63.18°, intensity 8.2; d 1.211, 79.09°, intensity 8.6; d 1.177, 81.84°, intensity 10.4

Structural model:
```
3
Lattice="5.0983 0.0000 0.0000 -2.5491 4.4152 0.0000 0.0000 0.0000 4.2607" Properties=species:S:1:pos:R:3 pbc="T T T"
Ba 0.0000 0.0000 0.0000
Mg 2.5491 1.4717 2.1304
Ga 0.0000 2.9435 2.1304
```

[3]
For AcPrUO6, a structure optimized by DFT (PBE) gives the calculated XRD peak list in this record (Cu Kα).

Most intense lines, 15° ≤ 2θ ≤ 90°, sorted by position:
d 4.668, 19.01°, intensity 23.7; d 3.517, 25.33°, intensity 100.0; d 3.088, 28.91°, intensity 78.3; d 2.575, 34.84°, intensity 32.2; d 2.320, 38.81°, intensity 32.9; d 1.862, 48.92°, intensity 51.0; d 1.855, 49.11°, intensity 33.9; d 1.783, 51.24°, intensity 24.3; d 1.417, 65.93°, intensity 15.3; d 1.288, 73.55°, intensity 15.0

Structural model:
```
18
Lattice="6.1759 0.0000 0.0000 -3.0879 5.3485 0.0000 0.0000 0.0000 9.3353" Properties=species:S:1:pos:R:3 pbc="T T T"
Ac 0.0000 3.5656 2.3338
Ac 3.0879 1.7828 7.0015
Pr 0.0000 0.0000 0.0000
Pr 0.0000 0.0000 4.6677
U 0.0000 3.5656 7.0015
U 3.0879 1.7828 2.3338
O -0.8374 1.9755 5.9031
O -1.7957 3.6355 8.0999
O 0.8374 1.9755 8.0999
O -0.9584 5.0859 5.9031
O 2.1295 0.2626 1.2355
O 1.2922 1.7129 3.4322
O 1.7957 3.6355 5.9031
O 0.9584 5.0859 8.0999
O 4.0463 0.2626 3.4322
O 2.2506 3.3729 1.2355
O 4.8837 1.7129 1.2355
O 3.9253 3.3729 3.4322
```

[4]
For La5Nd4Tl2, a structure optimized by DFT (PBE) gives the calculated XRD peak list in this record (Cu Kα).

Most intense lines, 15° ≤ 2θ ≤ 90°, sorted by position:
d 3.447, 25.85°, intensity 30.1; d 3.290, 27.10°, intensity 39.9; d 3.033, 29.45°, intensity 39.3; d 3.011, 29.67°, intensity 30.9; d 2.964, 30.15°, intensity 69.7; d 2.932, 30.49°, intensity 100.0; d 2.496, 35.98°, intensity 30.2; d 2.394, 37.57°, intensity 40.0; d 2.049, 44.20°, intensity 27.6; d 1.474, 63.06°, intensity 28.7

Structural model:
```
11
Lattice="-1.8362 4.9921 11.0514 1.8362 -4.9921 11.0514 1.8362 4.9921 -11.0514" Properties=species:S:1:pos:R:3 pbc="T T T"
La 0.0000 0.0000 0.0000
La 1.8362 2.1233 -3.4752
La 1.8362 2.1233 3.4752
La 0.0000 2.8688 7.5762
La 0.0000 2.8688 14.5266
Nd 1.8362 2.8290 0.0000
Nd 1.8362 0.0000 9.1591
Nd 0.0000 4.9921 1.8924
Nd 0.0000 2.1630 11.0514
Tl 1.8362 0.0000 6.0159
Tl 0.0000 4.9921 5.0355
```

[5]
For Tb4DyTm3, a structure optimized by DFT (PBE) gives the calculated XRD peak list in this record (Cu Kα).

Most intense lines, 15° ≤ 2θ ≤ 90°, sorted by position:
d 3.122, 28.59°, intensity 23.9; d 2.793, 32.05°, intensity 23.8; d 2.725, 32.86°, intensity 100.0; d 2.082, 43.48°, intensity 15.5; d 1.802, 50.64°, intensity 19.9; d 1.599, 57.64°, intensity 20.3; d 1.514, 61.20°, intensity 22.5; d 1.503, 61.70°, intensity 16.5; d 1.155, 83.75°, intensity 9.4; d 1.104, 88.59°, intensity 8.4

Structural model:
```
16
Lattice="11.1712 0.0000 0.0000 0.0000 7.2162 0.0000 0.0000 0.0000 6.2387" Properties=species:S:1:pos:R:3 pbc="T T T"
Tb 0.0000 0.9158 0.0000
Tb 0.0000 6.3025 3.1038
Tb 2.7803 6.3040 5.1948
Tb 2.8053 0.9122 2.0755
Tb 5.5856 0.9137 6.2231
Tb 5.5856 6.3004 3.1193
Tb 8.3660 0.9122 2.0755
Tb 8.3909 6.3040 5.1948
Dy 0.0000 2.7157 3.1183
Dy 5.5856 4.5005 6.2376
Tm 0.0000 4.4957 6.2361
Tm 2.7934 2.7179 5.1925
Tm 2.7922 4.4983 2.0731
Tm 5.5856 2.7205 3.1168
Tm 8.3778 2.7179 5.1925
Tm 8.3790 4.4983 2.0731
```

[6]
For KTmAgF6, a structure optimized by DFT (PBE) gives the calculated XRD peak list in this record (Cu Kα).

Most intense lines, 15° ≤ 2θ ≤ 90°, sorted by position:
d 5.468, 16.21°, intensity 100.0; d 5.251, 16.89°, intensity 36.3; d 3.833, 23.21°, intensity 43.8; d 3.744, 23.77°, intensity 39.3; d 3.706, 24.01°, intensity 43.9; d 2.949, 30.31°, intensity 41.7; d 2.713, 33.02°, intensity 26.2; d 2.581, 34.76°, intensity 42.4; d 2.017, 44.93°, intensity 31.9; d 1.992, 45.54°, intensity 33.2

Structural model:
```
9
Lattice="3.0769 -5.0396 0.0000 3.0769 5.0396 0.0000 -0.1508 0.0000 5.4679" Properties=species:S:1:pos:R:3 pbc="T T T"
K 0.0000 0.0000 0.0000
Tm 3.0015 1.6998 2.7340
Ag 3.0015 -1.7193 2.7340
F 1.0773 1.7931 3.7743
F 2.0934 3.0540 1.4328
F 3.9097 3.0540 4.0351
F 2.2100 -0.0442 1.6225
F 4.9258 1.7931 1.6937
F 3.7931 -0.0442 3.8455
```

[7]
For Rb2In2As2Se, a structure optimized by DFT (PBE) gives the calculated XRD peak list in this record (Cu Kα).

Most intense lines, 15° ≤ 2θ ≤ 90°, sorted by position:
d 3.903, 22.78°, intensity 100.0; d 3.751, 23.72°, intensity 22.7; d 3.310, 26.94°, intensity 71.9; d 3.115, 28.66°, intensity 54.7; d 2.986, 29.93°, intensity 54.1; d 2.318, 38.85°, intensity 52.9; d 2.310, 38.98°, intensity 32.8; d 2.286, 39.42°, intensity 41.2; d 2.193, 41.16°, intensity 22.7; d 2.181, 41.41°, intensity 19.2

Structural model:
```
7
Lattice="4.5721 0.0000 0.0000 0.0305 7.1192 0.0000 0.0004 2.9651 7.4973" Properties=species:S:1:pos:R:3 pbc="T T T"
Rb 4.5711 0.8423 2.0737
Rb 0.0319 9.2420 5.4235
In 2.2948 5.5078 6.3325
In 2.3082 4.5765 1.1648
As 0.0213 4.2795 2.7441
As 4.5817 5.8047 4.7531
Se 2.2860 0.0000 0.0000
```

[8]
For K6ZnO4, a structure optimized by DFT (PBE) gives the calculated XRD peak list in this record (Cu Kα).

Most intense lines, 15° ≤ 2θ ≤ 90°, sorted by position:
d 4.961, 17.88°, intensity 24.0; d 3.247, 27.47°, intensity 28.4; d 3.038, 29.40°, intensity 32.1; d 2.631, 34.08°, intensity 19.4; d 2.590, 34.63°, intensity 100.0; d 2.480, 36.22°, intensity 49.3; d 2.324, 38.75°, intensity 22.4; d 2.147, 42.08°, intensity 57.8; d 2.127, 42.51°, intensity 21.9; d 1.519, 61.01°, intensity 25.9

Structural model:
```
22
Lattice="8.5890 0.0000 0.0000 -4.2945 7.4382 0.0000 0.0000 0.0000 6.6576" Properties=species:S:1:pos:R:3 pbc="T T T"
K -1.6846 3.9862 0.0000
K 0.0000 2.1625 2.2132
K -2.4217 6.3570 2.2132
K 1.8728 1.0812 5.5420
K 1.6846 3.9862 0.0000
K 0.0000 6.9040 0.0000
K 4.2945 0.5343 3.3288
K 2.6099 3.4520 3.3288
K 2.4217 6.3570 2.2132
K 6.7162 1.0812 5.5420
K 4.2945 5.2758 5.5420
K 5.9790 3.4520 3.3288
Zn 0.0000 4.9588 4.0623
Zn 4.2945 2.4794 0.7335
O 0.0000 2.9770 4.7383
O -1.7163 5.9497 4.7383
O 0.0000 4.9588 2.0140
O 2.5782 1.4885 1.4095
O 1.7163 5.9497 4.7383
O 4.2945 2.4794 5.3428
O 6.0108 1.4885 1.4095
O 4.2945 4.4612 1.4095
```